(1)
This entry pairs a crystal structure of LiLu2Os with its computed powder diffractogram. Radiation: Cu Ka. Structure: a PBE-relaxed structure.

Main lines, low angle first (2θ = 10–80°):
2θ = 22.69°, intensity 271; 2θ = 26.26°, intensity 105; 2θ = 37.48°, intensity 1000; 2θ = 44.26°, intensity 143; 2θ = 46.34°, intensity 30; 2θ = 54.04°, intensity 176; 2θ = 59.35°, intensity 61; 2θ = 61.05°, intensity 40; 2θ = 67.62°, intensity 361; 2θ = 72.34°, intensity 45; 2θ = 79.96°, intensity 114

Cell and atoms:
Unit cell a=4.7995 b=4.7995 c=4.7995 alpha=60.00 beta=60.00 gamma=60.00
Element x y z (fractional)
Li1 0.0000 0.0000 0.0000
Lu1 0.2500 0.2500 0.2500
Lu2 0.7500 0.7500 0.7500
Os1 0.5000 0.5000 0.5000



(2)
This entry pairs a crystal structure of Ho2IrRu with its computed powder diffractogram. Radiation: Cu Ka. Structure: a PBE-relaxed structure.

Main lines, low angle first (2θ = 10–80°):
2θ = 22.64°, intensity 44; 2θ = 37.39°, intensity 1000; 2θ = 44.16°, intensity 25; 2θ = 53.91°, intensity 175; 2θ = 59.21°, intensity 11; 2θ = 67.45°, intensity 357; 2θ = 72.16°, intensity 8; 2θ = 79.75°, intensity 112

Cell and atoms:
Unit cell a=4.8100 b=4.8100 c=4.8100 alpha=60.00 beta=60.00 gamma=60.00
Element x y z (fractional)
Ho1 0.2500 0.2500 0.2500
Ho2 0.7500 0.7500 0.7500
Ir1 0.0000 0.0000 0.0000
Ru1 0.5000 0.5000 0.5000



(3)
This entry pairs a crystal structure of BaAl2O8 with its computed powder diffractogram. Radiation: Cu Ka. Structure: a PBE-relaxed structure.

Main lines, low angle first (2θ = 10–80°):
2θ = 16.32°, intensity 628; 2θ = 17.66°, intensity 904; 2θ = 18.02°, intensity 1000; 2θ = 18.21°, intensity 696; 2θ = 20.18°, intensity 727; 2θ = 27.33°, intensity 775; 2θ = 27.57°, intensity 451; 2θ = 27.92°, intensity 445; 2θ = 28.85°, intensity 349; 2θ = 35.44°, intensity 615; 2θ = 42.87°, intensity 451; 2θ = 45.84°, intensity 328

Cell and atoms:
Unit cell a=5.6919 b=6.9267 c=9.5464 alpha=100.45 beta=95.32 gamma=105.21
Element x y z (fractional)
Ba1 0.0281 0.3014 0.1585
Ba2 0.9719 0.6986 0.8415
Al1 0.3158 0.8387 0.5396
Al2 0.3777 0.8739 0.2284
Al3 0.6223 0.1261 0.7716
Al4 0.6842 0.1613 0.4604
O1 0.0086 0.2778 0.4415
O2 0.0230 0.7086 0.1746
O3 0.2360 0.9817 0.0947
O4 0.2937 0.9813 0.7256
O5 0.3308 0.6591 0.6617
O6 0.3315 0.6955 0.3542
O7 0.3324 0.6815 0.0576
O8 0.3332 0.0222 0.4113
O9 0.6668 0.9778 0.5887
O10 0.6676 0.3185 0.9424
O11 0.6685 0.3045 0.6458
O12 0.6692 0.3409 0.3383
O13 0.7063 0.0187 0.2744
O14 0.7640 0.0183 0.9053
O15 0.9770 0.2914 0.8254
O16 0.9914 0.7222 0.5585



(4)
This entry pairs a crystal structure of CaTiF6 with its computed powder diffractogram. Radiation: Cu Ka. Structure: a PBE-relaxed structure.

Main lines, low angle first (2θ = 10–80°):
2θ = 18.41°, intensity 57; 2θ = 21.29°, intensity 1000; 2θ = 30.29°, intensity 126; 2θ = 43.37°, intensity 308; 2θ = 47.49°, intensity 10; 2θ = 48.80°, intensity 321; 2θ = 53.81°, intensity 39; 2θ = 57.37°, intensity 26; 2θ = 63.01°, intensity 153; 2θ = 67.32°, intensity 129; 2θ = 71.50°, intensity 29; 2θ = 79.58°, intensity 42

Cell and atoms:
Unit cell a=5.9013 b=5.9013 c=5.9013 alpha=60.00 beta=60.00 gamma=60.00
Element x y z (fractional)
Ca1 0.0000 0.0000 0.0000
Ti1 0.5000 0.5000 0.5000
F1 0.2732 0.2732 0.7268
F2 0.2732 0.7268 0.2732
F3 0.2732 0.7268 0.7268
F4 0.7268 0.2732 0.2732
F5 0.7268 0.2732 0.7268
F6 0.7268 0.7268 0.2732



(5)
This entry pairs a crystal structure of Ba7Ga4P9 with its computed powder diffractogram. Radiation: Cu Ka. Structure: a PBE-relaxed structure.

Main lines, low angle first (2θ = 10–80°):
2θ = 22.20°, intensity 548; 2θ = 24.95°, intensity 744; 2θ = 26.33°, intensity 347; 2θ = 26.54°, intensity 302; 2θ = 27.41°, intensity 532; 2θ = 27.82°, intensity 1000; 2θ = 30.86°, intensity 287; 2θ = 32.45°, intensity 452; 2θ = 34.13°, intensity 536; 2θ = 36.17°, intensity 345; 2θ = 38.67°, intensity 596; 2θ = 50.09°, intensity 247

Cell and atoms:
Unit cell a=9.9348 b=16.7971 c=6.7693 alpha=90.00 beta=90.00 gamma=90.00
Element x y z (fractional)
Ba1 0.0294 0.1252 0.0591
Ba2 0.0294 0.3748 0.0591
Ba3 0.2500 0.0335 0.5523
Ba4 0.2500 0.4665 0.5523
Ba5 0.2500 0.7500 0.5996
Ba6 0.4706 0.1252 0.0591
Ba7 0.4706 0.3748 0.0591
Ba8 0.5294 0.6252 0.9409
Ba9 0.5294 0.8748 0.9409
Ba10 0.7500 0.2500 0.4004
Ba11 0.7500 0.5335 0.4477
Ba12 0.7500 0.9665 0.4477
Ba13 0.9706 0.6252 0.9409
Ba14 0.9706 0.8748 0.9409
Ga1 0.0781 0.2500 0.5746
Ga2 0.2500 0.6274 0.2329
Ga3 0.2500 0.8726 0.2329
Ga4 0.4219 0.2500 0.5746
Ga5 0.5781 0.7500 0.4254
Ga6 0.7500 0.1274 0.7671
Ga7 0.7500 0.3726 0.7671
Ga8 0.9219 0.7500 0.4254
P1 0.0416 0.6240 0.4354
P2 0.0416 0.8760 0.4354
P3 0.2500 0.2500 0.3093
P4 0.2500 0.2500 0.8385
P5 0.2500 0.5146 0.0232
P6 0.2500 0.7500 0.0489
P7 0.2500 0.9854 0.0232
P8 0.4584 0.6240 0.4354
P9 0.4584 0.8760 0.4354
P10 0.5416 0.1240 0.5646
P11 0.5416 0.3760 0.5646
P12 0.7500 0.0146 0.9768
P13 0.7500 0.2500 0.9511
P14 0.7500 0.4854 0.9768
P15 0.7500 0.7500 0.1615
P16 0.7500 0.7500 0.6907
P17 0.9584 0.1240 0.5646
P18 0.9584 0.3760 0.5646



(6)
This entry pairs a crystal structure of NbPd4 with its computed powder diffractogram. Radiation: Cu Ka. Structure: a PBE-relaxed structure.

Main lines, low angle first (2θ = 10–80°):
2θ = 38.94°, intensity 1000; 2θ = 39.18°, intensity 327; 2θ = 45.34°, intensity 643; 2θ = 65.89°, intensity 205; 2θ = 66.23°, intensity 202; 2θ = 79.26°, intensity 120; 2θ = 79.42°, intensity 239; 2θ = 79.74°, intensity 118

Cell and atoms:
Unit cell a=11.6112 b=11.6112 c=11.6112 alpha=14.03 beta=14.03 gamma=14.03
Element x y z (fractional)
Nb1 0.0000 0.0000 0.0000
Pd1 0.1999 0.1999 0.1999
Pd2 0.3994 0.3994 0.3994
Pd3 0.6006 0.6006 0.6006
Pd4 0.8001 0.8001 0.8001



(7)
This entry pairs a crystal structure of ThB12 with its computed powder diffractogram. Radiation: Cu Ka. Structure: a PBE-relaxed structure.

Main lines, low angle first (2θ = 10–80°):
2θ = 20.24°, intensity 1000; 2θ = 23.41°, intensity 696; 2θ = 33.34°, intensity 458; 2θ = 39.31°, intensity 913; 2θ = 41.14°, intensity 273; 2θ = 47.87°, intensity 111; 2θ = 52.48°, intensity 333; 2θ = 53.95°, intensity 257; 2θ = 59.59°, intensity 271; 2θ = 63.61°, intensity 185; 2θ = 73.75°, intensity 294; 2θ = 74.97°, intensity 192

Cell and atoms:
Unit cell a=5.3746 b=5.3746 c=5.3746 alpha=60.00 beta=60.00 gamma=60.00
Element x y z (fractional)
Th1 0.0000 0.0000 0.0000
B1 0.1626 0.5000 0.5000
B2 0.1626 0.5000 0.8374
B3 0.1626 0.8374 0.5000
B4 0.5000 0.1626 0.5000
B5 0.5000 0.1626 0.8374
B6 0.5000 0.5000 0.1626
B7 0.5000 0.5000 0.8374
B8 0.5000 0.8374 0.1626
B9 0.5000 0.8374 0.5000
B10 0.8374 0.1626 0.5000
B11 0.8374 0.5000 0.1626
B12 0.8374 0.5000 0.5000



(8)
This entry pairs a crystal structure of ErIn5Co with its computed powder diffractogram. Radiation: Cu Ka. Structure: a PBE-relaxed structure.

Main lines, low angle first (2θ = 10–80°):
2θ = 19.39°, intensity 62; 2θ = 30.06°, intensity 502; 2θ = 35.84°, intensity 213; 2θ = 36.64°, intensity 1000; 2θ = 39.37°, intensity 549; 2θ = 54.29°, intensity 253; 2θ = 56.90°, intensity 181; 2θ = 64.12°, intensity 67; 2θ = 65.70°, intensity 106; 2θ = 68.86°, intensity 144; 2θ = 69.10°, intensity 121; 2θ = 69.61°, intensity 291

Cell and atoms:
Unit cell a=4.5768 b=4.5768 c=7.5175 alpha=90.00 beta=90.00 gamma=90.00
Element x y z (fractional)
Er1 0.0000 0.0000 0.0000
In1 0.0000 0.5000 0.3061
In2 0.0000 0.5000 0.6939
In3 0.5000 0.0000 0.3061
In4 0.5000 0.0000 0.6939
In5 0.5000 0.5000 0.0000
Co1 0.0000 0.0000 0.5000



(9)
This entry pairs a crystal structure of CuH2Br4N2 with its computed powder diffractogram. Radiation: Cu Ka. Structure: a PBE-relaxed structure.

Main lines, low angle first (2θ = 10–80°):
2θ = 17.70°, intensity 766; 2θ = 23.56°, intensity 704; 2θ = 26.62°, intensity 748; 2θ = 33.56°, intensity 1000; 2θ = 35.84°, intensity 775; 2θ = 43.34°, intensity 708; 2θ = 45.37°, intensity 372; 2θ = 48.20°, intensity 305; 2θ = 55.90°, intensity 292; 2θ = 60.62°, intensity 150; 2θ = 61.50°, intensity 213; 2θ = 65.83°, intensity 256

Cell and atoms:
Unit cell a=6.3034 b=6.3034 c=6.3034 alpha=106.40 beta=106.40 gamma=115.81
Element x y z (fractional)
Cu1 0.0000 0.0000 0.0000
H1 0.2271 0.2271 0.0000
H2 0.7729 0.7729 0.0000
Br1 0.2291 0.2291 0.4583
Br2 0.2291 0.7709 0.0000
Br3 0.7709 0.2291 0.0000
Br4 0.7709 0.7709 0.5417
N1 0.2500 0.7500 0.5000
N2 0.7500 0.2500 0.5000



(10)
This entry pairs a crystal structure of PuAu3 with its computed powder diffractogram. Radiation: Cu Ka. Structure: a PBE-relaxed structure.

Main lines, low angle first (2θ = 10–80°):
2θ = 24.41°, intensity 14; 2θ = 32.44°, intensity 244; 2θ = 37.02°, intensity 233; 2θ = 37.48°, intensity 1000; 2θ = 50.03°, intensity 148; 2θ = 57.87°, intensity 188; 2θ = 67.02°, intensity 188; 2θ = 67.93°, intensity 29; 2θ = 70.72°, intensity 210; 2θ = 71.01°, intensity 153; 2θ = 78.83°, intensity 30; 2θ = 79.97°, intensity 38

Cell and atoms:
Unit cell a=6.3737 b=6.3737 c=4.8563 alpha=90.00 beta=90.00 gamma=120.00
Element x y z (fractional)
Pu1 0.3333 0.6667 0.2500
Pu2 0.6667 0.3333 0.7500
Au1 0.1592 0.3183 0.7500
Au2 0.1592 0.8408 0.7500
Au3 0.3183 0.1592 0.2500
Au4 0.6817 0.8408 0.7500
Au5 0.8408 0.1592 0.2500
Au6 0.8408 0.6817 0.2500



(11)
This entry pairs a crystal structure of LiAcHg2 with its computed powder diffractogram. Radiation: Cu Ka. Structure: a PBE-relaxed structure.

Main lines, low angle first (2θ = 10–80°):
2θ = 20.21°, intensity 266; 2θ = 23.38°, intensity 94; 2θ = 33.30°, intensity 1000; 2θ = 39.26°, intensity 152; 2θ = 47.80°, intensity 186; 2θ = 52.40°, intensity 67; 2θ = 53.87°, intensity 41; 2θ = 59.50°, intensity 390; 2θ = 63.52°, intensity 51; 2θ = 69.92°, intensity 122; 2θ = 73.63°, intensity 50; 2θ = 79.68°, intensity 173

Cell and atoms:
Unit cell a=5.3816 b=5.3816 c=5.3816 alpha=60.00 beta=60.00 gamma=60.00
Element x y z (fractional)
Li1 0.0000 0.0000 0.0000
Ac1 0.5000 0.5000 0.5000
Hg1 0.2500 0.2500 0.2500
Hg2 0.7500 0.7500 0.7500